Ca2Mn2O5: computed powder XRD pattern (λ = 1.5418 Å (Cu Kα)), based on the PBE+U geometry in the Materials Project.
Neutral-atom scattering factors, no anomalous dispersion.

Lattice parameters (Å, degrees): 5.6075 7.6480 11.0239 89.63 88.21 89.92
Positions (direct):
Ca 0.0000 0.0000 0.0000
Ca 0.0122 0.4573 0.9605
Ca 0.4714 0.4761 0.7332
Ca 0.4873 0.4788 0.1781
Ca 0.5007 0.9843 0.2019
Ca 0.5185 0.0238 0.7178
Ca 0.9318 0.4894 0.4175
Ca 0.9434 0.9790 0.4410
Mn 0.0200 0.2375 0.7174
Mn 0.4358 0.2143 0.4540
Mn 0.4713 0.7263 0.4466
Mn 0.5009 0.2250 0.9642
Mn 0.5087 0.7405 0.9653
Mn 0.8979 0.7258 0.6912
Mn 0.9772 0.2380 0.2137
Mn 0.9876 0.7268 0.2032
O 0.0570 0.5008 0.7440
O 0.0653 0.4836 0.2075
O 0.1406 0.2235 0.3680
O 0.1556 0.7399 0.3742
O 0.2359 0.1740 0.8610
O 0.2793 0.2022 0.1039
O 0.2857 0.7748 0.1057
O 0.3082 0.2540 0.6119
O 0.4300 0.4875 0.9579
O 0.5371 0.9791 0.4859
O 0.5853 0.7490 0.7961
O 0.5866 0.9853 0.9798
O 0.6597 0.2798 0.3299
O 0.6811 0.6076 0.5618
O 0.6887 0.6882 0.2994
O 0.7197 0.2526 0.8097
O 0.7745 0.2693 0.0716
O 0.8260 0.7017 0.0508
O 0.9164 0.9830 0.2158
O 0.9450 0.9940 0.6600

Most intense lines, 2θ from 15° to 90°, low angle first:
two_theta	d [Å]	I_rel
22.27	3.992	13
22.99	3.869	11
31.94	2.802	54
32.33	2.769	47
32.51	2.754	100
32.87	2.725	43
33.00	2.715	41
45.44	1.996	22
46.97	1.934	35
47.56	1.912	36
57.82	1.595	16
58.44	1.579	26



Mn3O2F4: computed powder XRD pattern (λ = 1.5418 Å (Cu Kα)), based on the PBE+U geometry in the Materials Project.
Neutral-atom scattering factors, no anomalous dispersion.

Lattice parameters (Å, degrees): 4.7534 5.8259 7.9413 87.18 88.42 87.51
Positions (direct):
Mn 0.0000 0.0000 0.0000
Mn 0.0012 0.3134 0.6369
Mn 0.4641 0.8480 0.6745
Mn 0.5010 0.4927 0.9876
Mn 0.5251 0.1731 0.3300
Mn 0.9841 0.6517 0.3321
O 0.2964 0.7934 0.8979
O 0.3078 0.1344 0.5501
O 0.6988 0.2023 0.0951
O 0.8129 0.3591 0.4262
F 0.1857 0.2925 0.8731
F 0.1955 0.9582 0.2327
F 0.2018 0.6296 0.5607
F 0.2986 0.4668 0.2168
F 0.6865 0.8536 0.4482
F 0.7051 0.5239 0.7509
F 0.7968 0.7065 0.0942
F 0.8040 0.0233 0.7680

Most intense lines, 2θ from 15° to 90°, low angle first:
two_theta	d [Å]	I_rel
25.72	3.463	100
27.07	3.294	89
33.34	2.688	29
33.75	2.656	51
33.92	2.643	22
37.94	2.371	17
50.09	1.821	18
51.02	1.790	32
52.46	1.744	25
52.87	1.732	19
57.52	1.602	20
65.73	1.421	21



SrCaZnWO6: computed powder XRD pattern (λ = 1.5418 Å (Cu Kα)), based on the PBE+U geometry in the Materials Project.
Neutral-atom scattering factors, no anomalous dispersion.

Lattice parameters (Å, degrees): 5.6694 5.6694 5.6694 60.00 60.00 60.00
Positions (direct):
Sr 0.0000 0.0000 0.0000
Ca 0.5000 0.5000 0.5000
Zn 0.7500 0.7500 0.7500
W 0.2500 0.2500 0.2500
O 0.0080 0.0080 0.4920
O 0.0080 0.4920 0.0080
O 0.0080 0.4920 0.4920
O 0.4920 0.0080 0.0080
O 0.4920 0.0080 0.4920
O 0.4920 0.4920 0.0080

Most intense lines, 2θ from 15° to 90°, low angle first:
two_theta	d [Å]	I_rel
19.17	4.629	28
22.17	4.009	24
31.56	2.835	100
37.19	2.417	14
45.24	2.004	34
49.56	1.839	6
50.94	1.793	10
56.20	1.637	39
59.95	1.543	6
65.90	1.417	20
74.91	1.268	17
83.54	1.157	7



MgFe2O5: computed powder XRD pattern (λ = 1.5418 Å (Cu Kα)), based on the PBE+U geometry in the Materials Project.
Neutral-atom scattering factors, no anomalous dispersion.

Lattice parameters (Å, degrees): 5.2554 5.2554 9.7559 90.00 90.00 136.22
Positions (direct):
Mg 0.2047 0.7953 0.7500
Mg 0.7953 0.2047 0.2500
Fe 0.1386 0.8614 0.0612
Fe 0.1386 0.8614 0.4388
Fe 0.8614 0.1386 0.5612
Fe 0.8614 0.1386 0.9388
O 0.0467 0.9533 0.6147
O 0.0467 0.9533 0.8853
O 0.2152 0.7848 0.2500
O 0.3095 0.6905 0.5566
O 0.3095 0.6905 0.9434
O 0.6905 0.3095 0.0566
O 0.6905 0.3095 0.4434
O 0.7848 0.2152 0.7500
O 0.9533 0.0467 0.1147
O 0.9533 0.0467 0.3853

Most intense lines, 2θ from 15° to 90°, low angle first:
two_theta	d [Å]	I_rel
18.19	4.877	74
20.36	4.362	14
24.48	3.636	100
30.67	2.915	14
33.11	2.706	53
35.89	2.502	20
37.09	2.424	19
41.40	2.181	28
46.34	1.959	35
50.37	1.812	18
58.13	1.587	19
60.14	1.539	26